The following is a simulated X-ray powder pattern of CuPO4. It was derived from a structure optimized by DFT (PBE), using CuKα.

Peak list (6 most intense, 10 to 90 degrees two-theta, by angle)
- 2θ = 20.78°, I = 36, (0 1 2)
- 2θ = 21.43°, I = 100, (2 1 1)
- 2θ = 25.05°, I = 54, (2 2 0)
- 2θ = 32.03°, I = 50, (1 1 3)
- 2θ = 33.34°, I = 49, (1 4 0)
- 2θ = 48.72°, I = 27, (3 3 3)

a b c (Å): 14.2221 14.2221 9.1156
angles (deg): 90.00 90.00 120.00
Space group R3 (No. 146, hexagonal axes)
Inequivalent atoms, fractional coordinates:
Cu: 0.0081 0.2125 0.0000 [9 per cell]
Cu: 0.1326 0.6817 0.1641 [9 per cell]
P: 0.0140 0.2079 0.6564 [9 per cell]
P: 0.1356 0.6747 0.8213 [9 per cell]
O: 0.0060 0.6925 0.1488 [9 per cell]
O: 0.0116 0.3154 0.6370 [9 per cell]
O: 0.0586 0.2018 0.8088 [9 per cell]
O: 0.0869 0.2031 0.5355 [9 per cell]
O: 0.1026 0.2061 0.1391 [9 per cell]
O: 0.1889 0.7271 0.9700 [9 per cell]
O: 0.2031 0.7518 0.6969 [9 per cell]
O: 0.2177 0.1036 0.6414 [9 per cell]



The following is a simulated X-ray powder pattern of Mn2CoAs2Rh. It was derived from a structure optimized by DFT (PBE), using CuKα.

Peak list (6 most intense, 10 to 90 degrees two-theta, by angle)
- 2θ = 37.56°, I = 54, (1 1 -3)
- 2θ = 37.76°, I = 74, (1 1 3)
- 2θ = 37.93°, I = 100, (2 1 0)
- 2θ = 41.10°, I = 99, (0 1 4)
- 2θ = 41.31°, I = 73, (2 1 -2)
- 2θ = 50.27°, I = 77, (0 2 0)

a b c (Å): 6.270 3.630 11.032
angles (deg): 90.00 90.61 90.00
Space group Pm (No. 6)
Inequivalent atoms, fractional coordinates:
Mn: 0.000 0.000 0.000 [1 per cell]
Mn: 0.001 0.000 0.400 [1 per cell]
Mn: 0.390 0.000 0.199 [1 per cell]
Mn: 0.504 0.000 0.500 [1 per cell]
Mn: 0.506 0.000 0.908 [1 per cell]
Mn: 0.886 0.000 0.703 [1 per cell]
Co: 0.056 0.500 0.198 [1 per cell]
Co: 0.561 0.500 0.704 [1 per cell]
Co: 0.671 0.500 0.072 [1 per cell]
As: 0.290 0.500 0.361 [1 per cell]
As: 0.303 0.500 0.042 [1 per cell]
As: 0.319 0.000 0.704 [1 per cell]
As: 0.787 0.500 0.872 [1 per cell]
As: 0.788 0.500 0.540 [1 per cell]
As: 0.806 0.000 0.192 [1 per cell]
Rh: 0.169 0.500 0.834 [1 per cell]
Rh: 0.170 0.500 0.570 [1 per cell]
Rh: 0.671 0.500 0.329 [1 per cell]



The following is a simulated X-ray powder pattern of OsN2. It was derived from a structure optimized by DFT (PBE), using CuKα.

Peak list (6 most intense, 10 to 90 degrees two-theta, by angle)
- 2θ = 28.07°, I = 100, (1 1 0)
- 2θ = 36.27°, I = 34, (0 2 0)
- 2θ = 37.94°, I = 43, (0 1 1)
- 2θ = 39.83°, I = 58, (1 0 1)
- 2θ = 54.96°, I = 40, (1 2 1)
- 2θ = 59.20°, I = 31, (2 1 1)

a b c (Å): 4.146 4.953 2.701
angles (deg): 90.00 90.00 90.00
Space group Pnnm (No. 58)
Inequivalent atoms, fractional coordinates:
Os: 0.000 0.000 0.000 [2 per cell]
N: 0.127 0.404 0.000 [4 per cell]



The following is a simulated X-ray powder pattern of Ta3Ru. It was derived from a structure optimized by DFT (PBE), using CuKα.

Peak list (6 most intense, 10 to 90 degrees two-theta, by angle)
- 2θ = 38.43°, I = 26, (0 2 0)
- 2θ = 38.92°, I = 100, (1 1 2)
- 2θ = 40.96°, I = 21, (0 0 4)
- 2θ = 57.41°, I = 15, (0 2 4)
- 2θ = 69.84°, I = 18, (1 3 2)
- 2θ = 73.24°, I = 14, (1 1 6)

a b c (Å): 3.338 4.685 8.814
angles (deg): 90.00 90.00 90.00
Space group Cmmm (No. 65)
Inequivalent atoms, fractional coordinates:
Ta: 0.000 0.000 0.000 [2 per cell]
Ta: 0.000 0.500 0.264 [4 per cell]
Ru: 0.000 0.000 0.500 [2 per cell]



The following is a simulated X-ray powder pattern of La2Fe4Sb5. It was derived from a structure optimized by DFT (PBE), using CuKα.

Peak list (6 most intense, 10 to 90 degrees two-theta, by angle)
- 2θ = 27.58°, I = 25, (8 0 0)
- 2θ = 31.84°, I = 100, (3 1 1)
- 2θ = 35.51°, I = 57, (7 1 -1)
- 2θ = 40.00°, I = 45, (0 2 0)
- 2θ = 41.76°, I = 39, (2 0 -2)
- 2θ = 59.21°, I = 27, (2 2 -2)

a b c (Å): 26.218 4.508 4.326
angles (deg): 90.00 99.36 90.00
Space group Cm (No. 8)
Inequivalent atoms, fractional coordinates:
La: 0.000 0.000 0.000 [2 per cell]
La: 0.201 0.500 0.705 [2 per cell]
Fe: 0.301 0.500 0.326 [2 per cell]
Fe: 0.305 0.000 0.802 [2 per cell]
Fe: 0.351 0.000 0.350 [2 per cell]
Fe: 0.403 0.000 0.902 [2 per cell]
Sb: 0.100 0.500 0.102 [2 per cell]
Sb: 0.101 0.000 0.600 [2 per cell]
Sb: 0.244 0.000 0.248 [2 per cell]
Sb: 0.359 0.500 0.887 [2 per cell]
Sb: 0.457 0.000 0.456 [2 per cell]



The following is a simulated X-ray powder pattern of Rb4UC3O11. It was derived from a structure optimized by DFT (PBE), using CuKα.

Peak list (6 most intense, 10 to 90 degrees two-theta, by angle)
- 2θ = 13.84°, I = 73, (1 1 -1)
- 2θ = 24.52°, I = 100, (1 1 3)
- 2θ = 25.72°, I = 80, (2 2 1)
- 2θ = 26.31°, I = 73, (3 1 -1)
- 2θ = 31.55°, I = 44, (2 0 -4)
- 2θ = 32.26°, I = 76, (1 3 -2)

a b c (Å): 11.189 9.546 12.817
angles (deg): 90.00 92.71 90.00
Space group C2/c (No. 15)
Inequivalent atoms, fractional coordinates:
Rb: 0.105 0.178 0.041 [8 per cell]
Rb: 0.185 0.341 0.346 [8 per cell]
U: 0.000 0.311 0.750 [4 per cell]
C: 0.000 0.007 0.750 [4 per cell]
C: 0.122 0.461 0.591 [8 per cell]
O: 0.000 0.126 0.250 [4 per cell]
O: 0.039 0.082 0.672 [8 per cell]
O: 0.063 0.474 0.164 [8 per cell]
O: 0.101 0.325 0.585 [8 per cell]
O: 0.150 0.310 0.817 [8 per cell]
O: 0.194 0.477 0.034 [8 per cell]



The following is a simulated X-ray powder pattern of ScNbOs2. It was derived from a structure optimized by DFT (PBE), using CuKα.

Peak list (6 most intense, 10 to 90 degrees two-theta, by angle)
- 2θ = 27.86°, I = 26, (2 0 0)
- 2θ = 39.81°, I = 100, (2 2 0)
- 2θ = 57.56°, I = 17, (4 0 0)
- 2θ = 65.13°, I = 11, (4 2 0)
- 2θ = 72.26°, I = 34, (4 2 2)
- 2θ = 85.82°, I = 11, (4 4 0)

a b c (Å): 6.405 6.405 6.405
angles (deg): 90.00 90.00 90.00
Space group Fm-3m (No. 225)
Inequivalent atoms, fractional coordinates:
Sc: 0.000 0.000 0.000 [4 per cell]
Nb: 0.000 0.000 0.500 [4 per cell]
Os: 0.250 0.250 0.250 [8 per cell]